Entry 1:
This entry pairs a crystal structure of MnCuTeSe with its calculated X-ray diffraction stick pattern. Radiation: Cu Kα, 1.54184 Å. Structure: the GGA-PBE geometry in Alexandria.

Atomic structure:
```
MnCuTeSe
1.0
3.598 -2.075 0.000
3.598 2.075 0.000
-2.391 0.000 6.750
Mn Cu Te Se
1 1 1 1
Direct
0.000 0.000 0.000 Mn
0.493 0.493 0.474 Cu
0.870 0.870 0.607 Te
0.372 0.372 0.115 Se
```

The 8 most intense peaks (2θ from 5° to 70°), by angle:
2θ/deg	I (rel.)
26.3	100
26.4	33
43.6	47
43.7	46
51.7	45
51.8	14
63.5	15
69.8	12

Entry 2:
This entry pairs a crystal structure of PrNdAg6 with its calculated X-ray diffraction stick pattern. Radiation: Cu Kα, 1.54184 Å. Structure: the GGA-PBE geometry in Alexandria.

Atomic structure:
```
PrNdAg6
1.0
5.656 0.000 0.000
-0.703 5.613 0.000
-0.701 -0.815 5.554
Pr Nd Ag
1 1 6
Direct
0.000 0.000 0.000 Pr
0.500 0.500 0.500 Nd
0.037 0.749 0.463 Ag
0.251 0.536 0.963 Ag
0.463 0.038 0.749 Ag
0.537 0.962 0.251 Ag
0.749 0.464 0.037 Ag
0.963 0.251 0.537 Ag
```

The 8 most intense peaks (2θ from 5° to 70°), by angle:
2θ/deg	I (rel.)
32.2	48
34.0	33
36.7	100
38.3	81
38.8	42
44.5	15
58.9	15
67.4	21

Entry 3:
This entry pairs a crystal structure of Rb2Cd3Pt2 with its calculated X-ray diffraction stick pattern. Radiation: Cu Kα, 1.54184 Å. Structure: the GGA-PBE geometry in Alexandria.

Atomic structure:
```
Rb2Cd3Pt2
1.0
6.419 -2.375 0.000
6.419 2.375 0.000
-4.450 0.000 6.765
Rb Cd Pt
2 3 2
Direct
0.142 0.142 0.275 Rb
0.858 0.858 0.725 Rb
0.331 0.331 0.071 Cd
0.500 0.500 0.500 Cd
0.669 0.669 0.929 Cd
0.109 0.109 0.697 Pt
0.891 0.891 0.303 Pt
```

The 8 most intense peaks (2θ from 5° to 70°), by angle:
2θ/deg	I (rel.)
14.4	100
29.0	41
30.9	30
37.2	47
37.9	29
39.3	28
40.8	36
48.4	20

Entry 4:
This entry pairs a crystal structure of Al4TeRh with its calculated X-ray diffraction stick pattern. Radiation: Cu Kα, 1.54184 Å. Structure: the GGA-PBE geometry in Alexandria.

Atomic structure:
```
Al4TeRh
1.0
0.000 3.765 3.765
3.765 0.000 3.765
3.765 3.765 0.000
Al Te Rh
4 1 1
Direct
0.124 0.124 0.124 Al
0.124 0.124 0.627 Al
0.124 0.627 0.124 Al
0.627 0.124 0.124 Al
0.500 0.500 0.500 Te
0.750 0.750 0.750 Rh
```

The 8 most intense peaks (2θ from 5° to 70°), by angle:
2θ/deg	I (rel.)
20.4	46
33.7	89
39.7	100
41.5	7
48.3	5
53.0	11
60.2	33
64.3	32

Entry 5:
This entry pairs a crystal structure of Tl5Sn2Au with its calculated X-ray diffraction stick pattern. Radiation: Cu Kα, 1.54184 Å. Structure: the GGA-PBE geometry in Alexandria.

Atomic structure:
```
Tl5Sn2Au
1.0
2.268 -5.845 0.000
2.268 5.845 0.000
0.000 0.000 17.546
Tl Sn Au
10 4 2
Direct
0.014 0.986 0.750 Tl
0.143 0.857 0.529 Tl
0.143 0.857 0.971 Tl
0.447 0.553 0.610 Tl
0.447 0.553 0.890 Tl
0.553 0.447 0.110 Tl
0.553 0.447 0.390 Tl
0.857 0.143 0.029 Tl
0.857 0.143 0.471 Tl
0.986 0.014 0.250 Tl
0.266 0.734 0.156 Sn
0.266 0.734 0.344 Sn
0.734 0.266 0.656 Sn
0.734 0.266 0.844 Sn
0.280 0.720 0.750 Au
0.720 0.280 0.250 Au
```

The 8 most intense peaks (2θ from 5° to 70°), by angle:
2θ/deg	I (rel.)
29.3	100
32.0	77
32.3	42
33.2	61
34.0	40
34.3	40
39.7	45
57.6	35

Entry 6:
This entry pairs a crystal structure of MgNp2In8 with its calculated X-ray diffraction stick pattern. Radiation: Cu Kα, 1.54184 Å. Structure: the GGA-PBE geometry in Alexandria.

Atomic structure:
```
MgNp2In8
1.0
4.814 0.000 0.000
0.000 4.814 0.000
0.000 0.000 12.133
Mg Np In
1 2 8
Direct
0.000 0.000 0.000 Mg
0.000 0.000 0.315 Np
0.000 0.000 0.685 Np
0.000 0.500 0.137 In
0.000 0.500 0.500 In
0.000 0.500 0.863 In
0.500 0.000 0.137 In
0.500 0.000 0.500 In
0.500 0.000 0.863 In
0.500 0.500 0.315 In
0.500 0.500 0.685 In
```

The 8 most intense peaks (2θ from 5° to 70°), by angle:
2θ/deg	I (rel.)
7.3	15
30.1	31
34.4	100
37.4	47
53.6	17
53.9	16
65.5	30
67.6	13